Record 1
Simulated X-ray powder pattern of Sm7Y2Ho4 for CuKα, from a GGA-PBE-relaxed structure.
Peak positions follow from Bragg's law for the DFT cell and can differ from measured ones.

Structure:
```
Sm7Y2Ho4
1.0
6.2079 0.0000 0.0000
1.0433 7.9523 0.0000
1.0302 3.8968 8.5936
Sm Y Ho
7 2 4
Cartesian
0.0000 0.0000 0.0000 Sm
2.0712 9.4256 5.9604 Sm
2.0768 4.5779 0.6598 Sm
3.1109 3.6349 3.9672 Sm
5.1704 8.2142 4.6263 Sm
6.2045 7.2712 7.9337 Sm
6.2101 2.4235 2.6332 Sm
2.0821 6.9999 3.3057 Y
6.1992 4.8492 5.2879 Y
3.0999 6.0452 6.6171 Ho
3.1062 1.1993 1.3146 Ho
5.1752 10.6498 7.2790 Ho
5.1815 5.8039 1.9765 Ho
```

Principal peaks in the range 2θ from 10° to 90°, low angle first:
d_spacing  intensity
2.929  100
2.536  51
1.795  12
1.793  24
1.531  14
1.529  28
1.464  9
1.164  6
1.163  9
1.134  10



Record 2
Simulated X-ray powder pattern of TbCoSe for CuKα, from a GGA-PBE-relaxed structure.
Peak positions follow from Bragg's law for the DFT cell and can differ from measured ones.

Structure:
```
TbCoSe
1.0
3.7571 0.0000 0.0000
-1.8786 3.2538 0.0000
0.0000 0.0000 10.3917
Tb Co Se
2 2 2
Cartesian
0.0000 0.0000 1.7535 Tb
0.0000 0.0000 8.6382 Tb
0.0000 0.0000 5.1958 Co
1.8786 1.0846 0.0000 Co
1.8786 1.0846 3.6888 Se
1.8786 1.0846 6.7029 Se
```

Principal peaks in the range 2θ from 10° to 90°, low angle first:
d_spacing  intensity
3.254  48
3.105  10
2.758  8
2.372  100
1.879  33
1.732  7
1.529  10
1.473  22
1.273  15
1.159  20



Record 3
Simulated X-ray powder pattern of KNa2Pu2O7 for CuKα, from a GGA-PBE-relaxed structure.
Peak positions follow from Bragg's law for the DFT cell and can differ from measured ones.

Structure:
```
KNa2Pu2O7
1.0
-2.1451 2.1461 9.8779
2.1451 -2.1461 9.8779
2.1451 2.1461 -9.8779
K Na Pu O
1 2 2 7
Cartesian
0.0000 0.0000 0.0000 K
2.1451 0.0000 4.9342 Na
0.0000 2.1461 4.9437 Na
0.0000 0.0000 7.7621 Pu
0.0000 0.0000 11.9937 Pu
2.1451 0.0000 2.0883 O
0.0000 0.0000 5.7715 O
2.1451 0.0000 7.7916 O
0.0000 0.0000 9.8779 O
0.0000 2.1461 2.0863 O
0.0000 0.0000 13.9843 O
0.0000 2.1461 7.7896 O
```

Principal peaks in the range 2θ from 10° to 90°, low angle first:
d_spacing  intensity
4.939  38
4.193  100
3.595  36
3.034  36
2.906  74
2.585  27
2.146  31
1.954  22
1.910  25
1.726  30



Record 4
Simulated X-ray powder pattern of PrNdYAl for CuKα, from a GGA-PBE-relaxed structure.
Peak positions follow from Bragg's law for the DFT cell and can differ from measured ones.

Structure:
```
PrNdYAl
1.0
7.7645 0.0000 0.0000
0.0000 7.7645 0.0000
0.0000 0.0000 7.7645
Pr Nd Y Al
4 4 4 4
Cartesian
0.0000 0.0000 0.0000 Pr
0.0000 3.8823 3.8823 Pr
3.8823 0.0000 3.8823 Pr
3.8823 3.8823 0.0000 Pr
0.0000 0.0000 3.8823 Nd
0.0000 3.8823 0.0000 Nd
3.8823 0.0000 0.0000 Nd
3.8823 3.8823 3.8823 Nd
1.9411 1.9411 1.9411 Y
1.9411 5.8234 5.8234 Y
5.8234 1.9411 5.8234 Y
5.8234 5.8234 1.9411 Y
1.9411 1.9411 5.8234 Al
1.9411 5.8234 1.9411 Al
5.8234 1.9411 1.9411 Al
5.8234 5.8234 5.8234 Al
```

Principal peaks in the range 2θ from 10° to 90°, low angle first:
d_spacing  intensity
4.483  6
3.882  21
2.745  100
2.241  7
1.941  18
1.736  9
1.585  38
1.373  12
1.294  4
1.228  16



Record 5
Simulated X-ray powder pattern of LaTbNdSe3 for CuKα, from a GGA-PBE-relaxed structure.
Peak positions follow from Bragg's law for the DFT cell and can differ from measured ones.

Structure:
```
LaTbNdSe3
1.0
7.3250 0.0000 0.0000
0.0000 4.0901 0.0000
-2.4264 0.0000 10.7088
La Tb Nd Se
2 2 2 6
Cartesian
0.6510 1.0225 2.1240 La
4.2476 3.0675 8.5848 La
0.6083 3.0675 5.9769 Tb
4.2903 1.0225 4.7319 Tb
0.6631 1.0225 9.2989 Nd
4.2354 3.0675 1.4100 Nd
-1.2581 1.0225 7.0296 Se
1.5612 3.0675 0.0475 Se
2.4213 3.0675 3.7311 Se
2.4773 1.0225 6.9777 Se
3.3374 1.0225 10.6613 Se
6.1567 3.0675 3.6793 Se
```

Principal peaks in the range 2θ from 10° to 90°, low angle first:
d_spacing  intensity
3.264  54
3.120  100
2.708  38
2.583  30
2.512  40
2.413  24
2.240  28
2.057  35
2.045  36
1.829  22



Record 6
Simulated X-ray powder pattern of Cs4TbCl6 for CuKα, from a GGA-PBE-relaxed structure.
Peak positions follow from Bragg's law for the DFT cell and can differ from measured ones.

Structure:
```
Cs4TbCl6
1.0
10.1400 0.0000 0.0000
0.0000 10.1400 0.0000
0.0000 0.0000 10.4439
Cs Tb Cl
8 2 12
Cartesian
1.9645 3.1055 2.6110 Cs
1.9645 3.1055 7.8330 Cs
3.1055 8.1755 2.6110 Cs
3.1055 8.1755 7.8330 Cs
7.0345 1.9645 2.6110 Cs
7.0345 1.9645 7.8330 Cs
8.1755 7.0345 2.6110 Cs
8.1755 7.0345 7.8330 Cs
0.0000 0.0000 0.0000 Tb
5.0700 5.0700 5.2220 Tb
0.0000 0.0000 2.6751 Cl
0.0000 0.0000 7.7688 Cl
0.6140 7.5319 0.0000 Cl
2.4619 5.6840 5.2220 Cl
2.6081 0.6140 0.0000 Cl
4.4560 2.4619 5.2220 Cl
5.0700 5.0700 2.5469 Cl
5.0700 5.0700 7.8971 Cl
5.6840 7.6781 5.2220 Cl
7.5319 9.5259 0.0000 Cl
7.6781 4.4560 5.2220 Cl
9.5259 2.6081 0.0000 Cl
```

Principal peaks in the range 2θ from 10° to 90°, low angle first:
d_spacing  intensity
7.275  100
4.535  47
3.638  84
3.585  35
3.424  95
3.208  57
2.611  33
2.459  45
2.225  36
1.790  33



Record 7
Simulated X-ray powder pattern of Li5Br2N for CuKα, from a GGA-PBE-relaxed structure.
Peak positions follow from Bragg's law for the DFT cell and can differ from measured ones.

Structure:
```
Li5Br2N
1.0
7.9591 0.0000 0.0000
0.0000 5.8678 0.0000
0.0000 0.0000 12.1207
Li Br N
20 8 4
Cartesian
0.0000 0.0000 0.0000 Li
0.0000 2.9339 0.0000 Li
0.4756 1.4670 2.3522 Li
1.4138 3.0738 7.0738 Li
1.4138 5.7279 7.0738 Li
1.9831 1.4670 10.8824 Li
1.9965 4.4009 4.8221 Li
2.5657 0.1399 1.0134 Li
2.5657 2.7940 1.0134 Li
3.5039 4.4009 8.4126 Li
3.9795 0.0000 6.0604 Li
3.9795 2.9339 6.0604 Li
4.4552 1.4670 3.7082 Li
5.3933 3.0738 11.1073 Li
5.3933 5.7279 11.1073 Li
5.9626 1.4670 7.2987 Li
5.9760 4.4009 1.2383 Li
6.5453 0.1399 5.0469 Li
6.5453 2.7940 5.0469 Li
7.4834 4.4009 9.7685 Li
0.4815 1.4670 8.8579 Br
1.0501 1.4670 4.9430 Br
2.9294 4.4009 11.0034 Br
3.4980 4.4009 2.7975 Br
4.4610 1.4670 9.3232 Br
5.0296 1.4670 1.1173 Br
6.9090 4.4009 7.1777 Br
7.4775 4.4009 3.2629 Br
1.2268 1.4670 0.5870 N
2.7527 4.4009 6.6473 N
5.2063 1.4670 5.4734 N
6.7323 4.4009 11.5338 N
```

Principal peaks in the range 2θ from 10° to 90°, low angle first:
d_spacing  intensity
6.653  32
4.401  17
3.328  100
3.294  74
3.178  19
2.934  34
2.835  41
2.551  24
2.039  41
1.722  13



Record 8
Simulated X-ray powder pattern of NbSnBr4 for CuKα, from a GGA-PBE-relaxed structure.
Peak positions follow from Bragg's law for the DFT cell and can differ from measured ones.

Structure:
```
NbSnBr4
1.0
6.9165 -5.2698 0.0000
6.9165 5.2698 0.0000
-0.2042 0.0000 5.9631
Nb Sn Br
2 2 8
Cartesian
6.7634 4.6198 4.4723 Nb
6.8655 -4.6198 1.4908 Nb
6.7634 0.3966 4.4723 Sn
6.8655 -0.3966 1.4908 Sn
1.5784 1.0060 3.5544 Br
5.1915 2.4732 5.3581 Br
1.6805 -1.0060 0.5729 Br
8.3352 2.4732 3.5865 Br
5.2936 -2.4732 2.3766 Br
11.9483 1.0060 5.3902 Br
8.4373 -2.4732 0.6050 Br
12.0504 -1.0060 2.4087 Br
```

Principal peaks in the range 2θ from 10° to 90°, low angle first:
d_spacing  intensity
6.912  100
4.812  25
4.191  23
3.462  19
3.396  21
2.890  29
2.704  44
2.550  65
2.454  20
2.024  30



Record 9
Simulated X-ray powder pattern of Sc2V3Si4 for CuKα, from a GGA-PBE-relaxed structure.
Peak positions follow from Bragg's law for the DFT cell and can differ from measured ones.

Structure:
```
Sc2V3Si4
1.0
6.6300 0.0000 0.0000
0.0000 6.6300 0.0000
0.0000 0.0000 12.2647
Sc V Si
8 12 16
Cartesian
0.0108 2.2370 2.6978 Sc
1.0780 3.3258 5.7639 Sc
2.2370 0.0108 9.5670 Sc
3.3042 5.5520 0.3684 Sc
3.3258 1.0780 6.5008 Sc
4.3930 6.6193 3.4346 Sc
5.5520 3.3042 11.8963 Sc
6.6193 4.3930 8.8301 Sc
0.0506 5.5922 1.5133 V
1.0378 6.5795 4.6190 V
1.1167 1.1167 0.0000 V
2.1983 4.4317 3.0662 V
2.2772 3.2645 10.7119 V
3.2645 2.2772 1.5528 V
3.3656 4.3528 7.6852 V
4.3528 3.3656 4.5795 V
4.4317 2.1983 9.1986 V
5.5133 5.5133 6.1324 V
5.5922 0.0506 10.7514 V
6.5795 1.0378 7.6457 V
0.2669 1.9529 9.9911 Si
0.8643 5.2801 11.4038 Si
1.3499 5.7657 6.9934 Si
1.3621 3.5819 0.7926 Si
1.9529 0.2669 2.2736 Si
1.9651 2.4507 8.3376 Si
2.4507 1.9651 3.9272 Si
3.0482 5.2679 5.3398 Si
3.5819 1.3621 11.4722 Si
4.1793 4.6649 10.0595 Si
4.6649 4.1793 2.2052 Si
4.6771 6.3632 8.4060 Si
5.2679 3.0482 6.9249 Si
5.2801 0.8643 0.8610 Si
5.7657 1.3499 5.2714 Si
6.3632 4.6771 3.8588 Si
```

Principal peaks in the range 2θ from 10° to 90°, low angle first:
d_spacing  intensity
2.566  27
2.400  76
2.344  18
2.302  97
2.173  100
2.079  82
1.984  17
1.600  18
1.464  20
1.392  25



Record 10
Simulated X-ray powder pattern of Ce2PuAl9 for CuKα, from a GGA-PBE-relaxed structure.
Peak positions follow from Bragg's law for the DFT cell and can differ from measured ones.

Structure:
```
Ce2PuAl9
1.0
2.7870 1.6091 8.8650
-2.7870 1.6091 8.8650
0.0000 -3.2181 8.8650
Ce Pu Al
2 1 9
Cartesian
0.0000 0.0000 3.7807 Ce
0.0000 0.0000 22.8142 Ce
0.0000 0.0000 0.0000 Pu
-1.4164 -0.8178 11.0548 Al
0.0000 0.0000 8.9047 Al
0.0000 -1.6356 15.5401 Al
-1.4164 0.8178 15.5401 Al
0.0000 0.0000 13.2974 Al
1.4164 -0.8178 11.0548 Al
0.0000 1.6356 11.0548 Al
0.0000 0.0000 17.6902 Al
1.4164 0.8178 15.5401 Al
```

Principal peaks in the range 2θ from 10° to 90°, low angle first:
d_spacing  intensity
4.750  94
4.432  29
2.985  83
2.787  80
2.738  54
2.404  45
2.359  100
1.645  30
1.599  21
1.512  25



Record 11
Simulated X-ray powder pattern of La3DyGe4 for CuKα, from a GGA-PBE-relaxed structure.
Peak positions follow from Bragg's law for the DFT cell and can differ from measured ones.

Structure:
```
La3DyGe4
1.0
4.2925 0.0000 0.0000
0.0000 6.4818 0.0000
0.0000 0.0000 16.6092
La Dy Ge
6 2 8
Cartesian
0.0000 0.0000 0.0000 La
0.0000 3.2409 3.2734 La
0.0000 3.2409 13.3358 La
2.1463 0.0000 5.0312 La
2.1463 0.0000 11.5780 La
2.1463 3.2409 8.3046 La
0.0000 0.0000 8.3046 Dy
2.1463 3.2409 0.0000 Dy
0.0000 1.9889 6.1825 Ge
0.0000 1.9889 10.4267 Ge
0.0000 4.4929 6.1825 Ge
0.0000 4.4929 10.4267 Ge
2.1463 1.2520 2.1221 Ge
2.1463 1.2520 14.4870 Ge
2.1463 5.2298 2.1221 Ge
2.1463 5.2298 14.4870 Ge
```

Principal peaks in the range 2θ from 10° to 90°, low angle first:
d_spacing  intensity
3.287  100
2.956  19
2.711  26
2.627  20
2.555  43
2.343  27
2.146  27
1.880  19
1.643  17
1.414  19



Record 12
Simulated X-ray powder pattern of MnBiPd5 for CuKα, from a GGA-PBE-relaxed structure.
Peak positions follow from Bragg's law for the DFT cell and can differ from measured ones.

Structure:
```
MnBiPd5
1.0
3.9881 0.0000 0.0000
0.0000 3.9881 0.0000
0.0000 0.0000 7.7718
Mn Bi Pd
1 1 5
Cartesian
0.0000 0.0000 0.0000 Mn
1.9941 1.9941 3.8859 Bi
0.0000 1.9941 1.9290 Pd
0.0000 1.9941 5.8427 Pd
1.9941 0.0000 1.9290 Pd
1.9941 0.0000 5.8427 Pd
1.9941 1.9941 0.0000 Pd
```

Principal peaks in the range 2θ from 10° to 90°, low angle first:
d_spacing  intensity
3.988  22
3.548  12
2.783  18
2.282  100
1.994  33
1.943  15
1.392  20
1.200  25
1.177  12
1.141  11